Record 1
Structure and theoretical PXRD pattern of LiTbCuRh (a DFT-relaxed cell (PBE, Alexandria); λ = 1.5418 Å (Cu Kα)).

Top 7 peaks for 2θ = 10–80°, by angle:
2θ (°)  intensity
23.5  530
38.9  1000
46.0  269
56.2  168
61.8  112
70.5  335
75.5  84

Cell and atoms:
```
data_LiTbCuRh
_chemical_formula_sum 'Li4 Tb4 Cu4 Rh4'
_cell_length_a 6.5444
_cell_length_b 6.5444
_cell_length_c 6.5444
_cell_angle_alpha 90.00
_cell_angle_beta 90.00
_cell_angle_gamma 90.00
_symmetry_space_group_name_H-M 'F -4 3 m'
_symmetry_Int_Tables_number 216
_symmetry_space_group_name_Hall 'F -4 2 3'
loop_
_atom_site_label
_atom_site_fract_x
_atom_site_fract_y
_atom_site_fract_z
Li1 0.0000 0.0000 0.0000
Tb1 0.0000 0.0000 0.5000
Cu1 0.2500 0.2500 0.7500
Rh1 0.2500 0.2500 0.2500
```

=====

Record 2
Structure and theoretical PXRD pattern of LiCu2Ru (a DFT-relaxed cell (PBE, Alexandria); λ = 1.5418 Å (Cu Kα)).

Top 8 peaks for 2θ = 10–80°, by angle:
2θ (°)  intensity
20.3  974
21.2  889
41.2  844
41.3  949
43.3  758
44.3  702
46.1  1000
46.6  973

Cell and atoms:
```
data_LiCu2Ru
_chemical_formula_sum 'Li2 Cu4 Ru2'
_cell_length_a 9.8085
_cell_length_b 2.4756
_cell_length_c 4.6970
_cell_angle_alpha 90.00
_cell_angle_beta 117.06
_cell_angle_gamma 90.00
_symmetry_space_group_name_H-M 'C 1 m 1'
_symmetry_Int_Tables_number 8
_symmetry_space_group_name_Hall 'C -2y'
loop_
_atom_site_label
_atom_site_fract_x
_atom_site_fract_y
_atom_site_fract_z
Li1 0.0000 0.0000 0.0000
Cu1 0.0022 0.5000 0.4947
Cu2 0.2451 0.0000 0.9328
Ru1 0.2574 0.5000 0.4439
```

=====

Record 3
Structure and theoretical PXRD pattern of Li3CuS2 (a DFT-relaxed cell (PBE, Alexandria); λ = 1.5418 Å (Cu Kα)).

Top 8 peaks for 2θ = 10–80°, by angle:
2θ (°)  intensity
13.6  1000
23.7  563
27.5  849
33.8  404
36.6  681
48.6  375
50.7  367
56.7  405

Cell and atoms:
```
data_Li3CuS2
_chemical_formula_sum 'Li24 Cu8 S16'
_cell_length_a 9.1829
_cell_length_b 9.1829
_cell_length_c 9.1829
_cell_angle_alpha 90.00
_cell_angle_beta 90.00
_cell_angle_gamma 90.00
_symmetry_space_group_name_H-M 'I 41 3 2'
_symmetry_Int_Tables_number 214
_symmetry_space_group_name_Hall 'I 4bd 2c 3'
loop_
_atom_site_label
_atom_site_fract_x
_atom_site_fract_y
_atom_site_fract_z
Li1 0.0000 0.2500 0.3840
Cu1 0.1250 0.1250 0.1250
S1 0.0095 0.4905 0.5095
```

=====

Record 4
Structure and theoretical PXRD pattern of Li3CuS2 (a DFT-relaxed cell (PBE, Alexandria); λ = 1.5418 Å (Cu Kα)).

Top 8 peaks for 2θ = 10–80°, by angle:
2θ (°)  intensity
14.6  1000
24.8  951
27.9  617
32.5  475
36.9  495
45.4  875
48.4  395
55.2  194

Cell and atoms:
```
data_Li3CuS2
_chemical_formula_sum 'Li12 Cu4 S8'
_cell_length_a 5.3173
_cell_length_b 12.1362
_cell_length_c 5.3145
_cell_angle_alpha 90.00
_cell_angle_beta 90.00
_cell_angle_gamma 90.00
_symmetry_space_group_name_H-M 'P b c n'
_symmetry_Int_Tables_number 60
_symmetry_space_group_name_Hall '-P 2n 2ab'
loop_
_atom_site_label
_atom_site_fract_x
_atom_site_fract_y
_atom_site_fract_z
Li1 0.0000 0.2499 0.2500
Li2 0.2499 0.0741 0.9997
Cu1 0.0000 0.2502 0.7500
S1 0.2499 0.1279 0.5002
```

=====

Record 5
Structure and theoretical PXRD pattern of Li3CuS2 (a DFT-relaxed cell (PBE, Alexandria); λ = 1.5418 Å (Cu Kα)).

Top 8 peaks for 2θ = 10–80°, by angle:
2θ (°)  intensity
19.3  621
22.3  430
27.4  596
29.6  406
39.1  192
43.9  139
45.5  1000
53.9  143

Cell and atoms:
```
data_Li3CuS2
_chemical_formula_sum 'Li12 Cu4 S8'
_cell_length_a 6.9001
_cell_length_b 7.9895
_cell_length_c 7.9733
_cell_angle_alpha 90.00
_cell_angle_beta 125.28
_cell_angle_gamma 90.00
_symmetry_space_group_name_H-M 'P 1 21/c 1'
_symmetry_Int_Tables_number 14
_symmetry_space_group_name_Hall '-P 2ybc'
loop_
_atom_site_label
_atom_site_fract_x
_atom_site_fract_y
_atom_site_fract_z
Li1 0.2442 0.2501 0.3721
Li2 0.2487 0.5046 0.1243
Li3 0.2486 0.5047 0.6245
Cu1 0.2631 0.7494 0.3820
S1 0.0000 0.0001 0.2500
S2 0.4959 0.7499 0.2481
```

=====

Record 6
Structure and theoretical PXRD pattern of Li3CuS2 (a DFT-relaxed cell (PBE, Alexandria); λ = 1.5418 Å (Cu Kα)).

Top 8 peaks for 2θ = 10–80°, by angle:
2θ (°)  intensity
13.4  705
22.5  792
24.9  643
26.3  661
27.0  1000
29.7  805
37.6  685
46.0  615

Cell and atoms:
```
data_Li3CuS2
_chemical_formula_sum 'Li24 Cu8 S16'
_cell_length_a 7.8930
_cell_length_b 7.8930
_cell_length_c 12.0210
_cell_angle_alpha 90.00
_cell_angle_beta 90.00
_cell_angle_gamma 90.00
_symmetry_space_group_name_H-M 'I 41/a m d'
_symmetry_Int_Tables_number 141
loop_
_symmetry_equiv_pos_as_xyz
'x,y,z'
'-x,-y,-z'
'-y+1/4,x+3/4,z+1/4'
'y+1/4,-x+3/4,-z+1/4'
'-x+1/2,-y,z+1/2'
'x+1/2,y,-z+1/2'
'y+1/4,-x+1/4,z+3/4'
'-y+1/4,x+1/4,-z+3/4'
'x,-y,-z'
'-x,y,z'
'-y+1/4,-x+1/4,-z+3/4'
'y+1/4,x+1/4,z+3/4'
'-x+1/2,y,-z+1/2'
'x+1/2,-y,z+1/2'
'y+1/4,x+3/4,-z+1/4'
'-y+1/4,-x+3/4,z+1/4'
'x+1/2,y+1/2,z+1/2'
'-x+1/2,-y+1/2,-z+1/2'
'-y+3/4,x+1/4,z+3/4'
'y+3/4,-x+1/4,-z+3/4'
'-x,-y+1/2,z'
'x,y+1/2,-z'
'y+3/4,-x+3/4,z+1/4'
'-y+3/4,x+3/4,-z+1/4'
'x+1/2,-y+1/2,-z+1/2'
'-x+1/2,y+1/2,z+1/2'
'-y+3/4,-x+3/4,-z+1/4'
'y+3/4,x+3/4,z+1/4'
'-x,y+1/2,-z'
'x,-y+1/2,z'
'y+3/4,x+1/4,-z+3/4'
'-y+3/4,-x+1/4,z+3/4'
loop_
_atom_site_label
_atom_site_fract_x
_atom_site_fract_y
_atom_site_fract_z
Li1 0.0000 0.0000 0.0000
Li2 0.2163 0.0337 0.3750
Cu1 0.0000 0.2500 0.2414
S1 0.0000 0.0202 0.7691
```